For Ho3Cd3Ag2Au, a crystal structure in OQMD, relaxed with PBE gives the simulated powder X-ray diffraction pattern in this record (a wavelength of 1.5418 Å).

Main lines, by angle (2θ = 10–80°):
| 2θ/deg | d [Å] | I_rel | index |
| --- | --- | --- | --- |
| 32.33 | 2.769 | 1000 | 1 1 1 |
| 35.03 | 2.561 | 990 | 2 0 1 |
| 35.24 | 2.547 | 364 | 2 1 0 |
| 40.15 | 2.246 | 574 | 3 0 0 |
| 42.25 | 2.139 | 357 | 2 1 1 |
| 46.05 | 1.971 | 262 | 0 0 2 |
| 59.28 | 1.559 | 157 | 2 1 2 |
| 62.71 | 1.482 | 301 | 3 0 2 |
| 64.78 | 1.439 | 393 | 3 2 1 |
| 74.39 | 1.275 | 153 | 5 0 1 |

Structural model:
Unit cell a=7.7808 b=7.7808 c=3.9422 alpha=90.00 beta=90.00 gamma=120.00
Element x y z (fractional)
Ho (0.0000, 0.3981, 0.0000)
Ho (0.3981, 0.0000, 0.0000)
Ho (0.6019, 0.6019, 0.0000)
Cd (0.0000, 0.7341, 0.5000)
Cd (0.2659, 0.2659, 0.5000)
Cd (0.7341, 0.0000, 0.5000)
Ag (0.3333, 0.6667, 0.5000)
Ag (0.6667, 0.3333, 0.5000)
Au (0.0000, 0.0000, 0.0000)